The following is a simulated X-ray diffraction stick pattern of ZrCuGe2. It was derived from a PBE-relaxed structure, using Cu Kα (weighted mean of Kα1 and Kα2).

Crystal structure
```
data_ZrCuGe2
_chemical_formula_sum 'Zr2 Cu2 Ge4'
_cell_length_a 3.812
_cell_length_b 3.812
_cell_length_c 9.196
_cell_angle_alpha 90.00
_cell_angle_beta 90.00
_cell_angle_gamma 90.00
_symmetry_space_group_name_H-M 'P 4/n m m'
_symmetry_Int_Tables_number 129
loop_
_symmetry_equiv_pos_as_xyz
'x,y,z'
'-x,-y,-z'
'-y+1/2,x,z'
'y+1/2,-x,-z'
'-x+1/2,-y+1/2,z'
'x+1/2,y+1/2,-z'
'y,-x+1/2,z'
'-y,x+1/2,-z'
'x+1/2,-y,-z'
'-x+1/2,y,z'
'-y,-x,-z'
'y,x,z'
'-x,y+1/2,-z'
'x,-y+1/2,z'
'y+1/2,x+1/2,-z'
'-y+1/2,-x+1/2,z'
loop_
_atom_site_label
_atom_site_fract_x
_atom_site_fract_y
_atom_site_fract_z
Zr1 0.250 0.250 0.239
Cu1 0.250 0.750 0.500
Ge1 0.250 0.250 0.675
Ge2 0.250 0.750 0.000
```

Peak list (10 most intense, 10° ≤ 2θ ≤ 90°, low angle first)
h k l, 2θ/deg, I_rel
1 0 2, 30.5, 13
1 0 3, 37.7, 9
1 1 2, 38.7, 100
0 0 4, 39.2, 14
1 0 4, 46.1, 7
2 0 0, 47.7, 34
1 0 5, 55.5, 9
2 0 4, 63.4, 12
2 2 0, 69.8, 10
3 1 2, 82.8, 20